Diffraction record for Sn2Bi2Os3. The XRD peak list is computed, not measured: it uses DFT lattice parameters and positions (PBE) and copper Kα.
No peak broadening, texture or thermal motion is included.

Peak list (12 most intense, 10 to 90 degrees two-theta, low angle first)
| hkl | 2θ (°) | I (rel.) |
| --- | --- | --- |
| 0 0 3 | 11.3 | 16 |
| 1 0 1 | 22.6 | 7 |
| 0 1 2 | 23.5 | 15 |
| 1 0 7 | 34.9 | 10 |
| 0 1 8 | 38.0 | 100 |
| 1 1 0 | 39.0 | 97 |
| 2 0 8 | 55.6 | 34 |
| 1 0 16 | 68.0 | 20 |
| 1 2 8 | 70.0 | 35 |
| 3 0 0 | 70.7 | 18 |
| 0 2 16 | 81.3 | 11 |
| 2 2 0 | 83.8 | 11 |

Cell and atoms:
```
data_Sn2Bi2Os3
_space_group_name_H-M_alt 'R 3 m'
_space_group_IT_number 160
_space_group_name_Hall 'R 3 -2"'
_cell_length_a 4.6163
_cell_length_b 4.6163
_cell_length_c 23.5022
_cell_angle_alpha 90.00
_cell_angle_beta 90.00
_cell_angle_gamma 120.00
loop_
_atom_site_label
_atom_site_fract_x
_atom_site_fract_y
_atom_site_fract_z
Sn1 0.0000 0.0000 0.0000
Sn2 0.0000 0.0000 0.4953
Bi1 0.0000 0.0000 0.2434
Bi2 0.0000 0.0000 0.7508
Os1 0.0000 0.0000 0.3671
Os2 0.0000 0.0000 0.6234
Os3 0.0000 0.0000 0.8774
```

---

Diffraction record for Ta2BiOs. The XRD peak list is computed, not measured: it uses DFT lattice parameters and positions (PBE) and copper Kα.
No peak broadening, texture or thermal motion is included.

Peak list (4 most intense, 10 to 90 degrees two-theta, low angle first)
| hkl | 2θ (°) | I (rel.) |
| --- | --- | --- |
| 2 2 0 | 38.1 | 100 |
| 4 0 0 | 55.0 | 18 |
| 4 2 2 | 68.9 | 36 |
| 4 4 0 | 81.5 | 12 |

Cell and atoms:
```
data_Ta2BiOs
_space_group_name_H-M_alt 'F -4 3 m'
_space_group_IT_number 216
_space_group_name_Hall 'F -4 2 3'
_cell_length_a 6.6805
_cell_length_b 6.6805
_cell_length_c 6.6805
_cell_angle_alpha 90.00
_cell_angle_beta 90.00
_cell_angle_gamma 90.00
loop_
_atom_site_label
_atom_site_fract_x
_atom_site_fract_y
_atom_site_fract_z
Ta1 0.0000 0.0000 0.0000
Ta2 0.2500 0.2500 0.2500
Bi1 0.0000 0.0000 0.5000
Os1 0.2500 0.2500 0.7500
```

---

Diffraction record for Bi10Te10Os. The XRD peak list is computed, not measured: it uses DFT lattice parameters and positions (PBE) and copper Kα.
No peak broadening, texture or thermal motion is included.

Peak list (12 most intense, 10 to 90 degrees two-theta, low angle first)
| hkl | 2θ (°) | I (rel.) |
| --- | --- | --- |
| 0 2 0 | 13.4 | 36 |
| 2 2 1 | 22.0 | 22 |
| 2 1 2 | 25.7 | 100 |
| 2 2 2 | 28.3 | 24 |
| 1 4 1 | 29.8 | 29 |
| 3 1 2 | 30.3 | 39 |
| 2 3 2 | 32.2 | 43 |
| 3 4 0 | 34.6 | 24 |
| 3 3 2 | 36.0 | 23 |
| 1 5 2 | 40.6 | 40 |
| 0 0 4 | 41.3 | 39 |
| 5 1 2 | 42.0 | 33 |

Cell and atoms:
```
data_Bi10Te10Os
_space_group_name_H-M_alt 'P b a m'
_space_group_IT_number 55
_space_group_name_Hall '-P 2 2ab'
_cell_length_a 12.5778
_cell_length_b 13.1882
_cell_length_c 8.7437
_cell_angle_alpha 90.00
_cell_angle_beta 90.00
_cell_angle_gamma 90.00
loop_
_atom_site_label
_atom_site_fract_x
_atom_site_fract_y
_atom_site_fract_z
Bi1 0.0000 0.0000 0.2488
Bi2 0.1308 0.4244 0.2775
Bi3 0.1369 0.6627 0.5000
Bi4 0.2279 0.5741 0.0000
Te1 0.0044 0.3403 0.0000
Te2 0.1265 0.8844 0.0000
Te3 0.1497 0.9033 0.5000
Te4 0.1703 0.1830 0.2768
Os1 0.0000 0.5000 0.5000
```

---

Diffraction record for TlBi5Os3. The XRD peak list is computed, not measured: it uses DFT lattice parameters and positions (PBE) and copper Kα.
No peak broadening, texture or thermal motion is included.

Peak list (12 most intense, 10 to 90 degrees two-theta, low angle first)
| hkl | 2θ (°) | I (rel.) |
| --- | --- | --- |
| 0 0 1 | 10.7 | 42 |
| 1 0 2 | 28.0 | 60 |
| 1 1 0 | 31.2 | 68 |
| 0 0 3 | 32.3 | 19 |
| 2 0 1 | 37.8 | 31 |
| 1 1 2 | 38.1 | 22 |
| 2 0 2 | 42.4 | 100 |
| 0 0 4 | 43.6 | 21 |
| 2 1 2 | 53.5 | 21 |
| 1 1 4 | 54.6 | 18 |
| 2 2 0 | 65.0 | 26 |
| 2 2 4 | 81.5 | 21 |

Cell and atoms:
```
data_TlBi5Os3
_space_group_name_H-M_alt 'P 6/m m m'
_space_group_IT_number 191
_space_group_name_Hall '-P 6 2'
_cell_length_a 5.7422
_cell_length_b 5.7422
_cell_length_c 8.3037
_cell_angle_alpha 90.00
_cell_angle_beta 90.00
_cell_angle_gamma 120.00
loop_
_atom_site_label
_atom_site_fract_x
_atom_site_fract_y
_atom_site_fract_z
Tl1 0.0000 0.0000 0.0000
Bi1 0.0000 0.0000 0.5000
Bi2 0.3333 0.6667 0.2203
Os1 0.0000 0.5000 0.5000
```

---

Diffraction record for Pa3Bi4. The XRD peak list is computed, not measured: it uses DFT lattice parameters and positions (PBE) and copper Kα.
No peak broadening, texture or thermal motion is included.

Peak list (12 most intense, 10 to 90 degrees two-theta, low angle first)
| hkl | 2θ (°) | I (rel.) |
| --- | --- | --- |
| 2 1 1 | 23.1 | 8 |
| 3 1 0 | 30.0 | 100 |
| 3 2 1 | 35.6 | 79 |
| 4 2 0 | 42.9 | 16 |
| 3 3 2 | 45.1 | 11 |
| 4 2 2 | 47.2 | 18 |
| 4 3 1 | 49.3 | 16 |
| 6 1 1 | 60.6 | 31 |
| 6 2 0 | 62.3 | 12 |
| 5 4 1 | 64.0 | 17 |
| 5 5 2 | 73.9 | 16 |
| 7 4 3 | 89.4 | 12 |

Cell and atoms:
```
data_Pa3Bi4
_space_group_name_H-M_alt 'I -4 3 d'
_space_group_IT_number 220
_space_group_name_Hall 'I -4bd 2c 3'
_cell_length_a 9.4252
_cell_length_b 9.4252
_cell_length_c 9.4252
_cell_angle_alpha 90.00
_cell_angle_beta 90.00
_cell_angle_gamma 90.00
loop_
_atom_site_label
_atom_site_fract_x
_atom_site_fract_y
_atom_site_fract_z
Pa1 0.0000 0.2500 0.8750
Bi1 0.0787 0.4213 0.5787
```

---

Diffraction record for PuPaBi. The XRD peak list is computed, not measured: it uses DFT lattice parameters and positions (PBE) and copper Kα.
No peak broadening, texture or thermal motion is included.

Peak list (12 most intense, 10 to 90 degrees two-theta, low angle first)
| hkl | 2θ (°) | I (rel.) |
| --- | --- | --- |
| 1 1 1 | 21.0 | 27 |
| 2 0 0 | 24.3 | 13 |
| 2 2 0 | 34.6 | 100 |
| 3 1 1 | 40.9 | 15 |
| 4 0 0 | 49.8 | 18 |
| 3 3 1 | 54.6 | 7 |
| 4 2 0 | 56.1 | 5 |
| 4 2 2 | 62.1 | 39 |
| 5 1 1 | 66.3 | 5 |
| 4 4 0 | 73.1 | 12 |
| 5 3 1 | 77.0 | 5 |
| 6 2 0 | 83.4 | 18 |

Cell and atoms:
```
data_PuPaBi
_space_group_name_H-M_alt 'F -4 3 m'
_space_group_IT_number 216
_space_group_name_Hall 'F -4 2 3'
_cell_length_a 7.3265
_cell_length_b 7.3265
_cell_length_c 7.3265
_cell_angle_alpha 90.00
_cell_angle_beta 90.00
_cell_angle_gamma 90.00
loop_
_atom_site_label
_atom_site_fract_x
_atom_site_fract_y
_atom_site_fract_z
Pu1 0.0000 0.0000 0.0000
Pa1 0.2500 0.2500 0.7500
Bi1 0.0000 0.0000 0.5000
```

---

Diffraction record for PaSiBi. The XRD peak list is computed, not measured: it uses DFT lattice parameters and positions (PBE) and copper Kα.
No peak broadening, texture or thermal motion is included.

Peak list (10 most intense, 10 to 90 degrees two-theta, low angle first)
| hkl | 2θ (°) | I (rel.) |
| --- | --- | --- |
| 1 1 1 | 22.5 | 1 |
| 2 0 0 | 26.1 | 95 |
| 2 2 0 | 37.2 | 100 |
| 3 1 1 | 43.9 | 1 |
| 2 2 2 | 46.0 | 29 |
| 4 0 0 | 53.6 | 18 |
| 4 2 0 | 60.6 | 39 |
| 4 2 2 | 67.1 | 37 |
| 4 4 0 | 79.3 | 12 |
| 6 0 0 | 85.2 | 20 |

Cell and atoms:
```
data_PaSiBi
_space_group_name_H-M_alt 'F -4 3 m'
_space_group_IT_number 216
_space_group_name_Hall 'F -4 2 3'
_cell_length_a 6.8342
_cell_length_b 6.8342
_cell_length_c 6.8342
_cell_angle_alpha 90.00
_cell_angle_beta 90.00
_cell_angle_gamma 90.00
loop_
_atom_site_label
_atom_site_fract_x
_atom_site_fract_y
_atom_site_fract_z
Pa1 0.0000 0.0000 0.0000
Si1 0.2500 0.2500 0.7500
Bi1 0.0000 0.0000 0.5000
```

---

Diffraction record for PaTaBi. The XRD peak list is computed, not measured: it uses DFT lattice parameters and positions (PBE) and copper Kα.
No peak broadening, texture or thermal motion is included.

Peak list (12 most intense, 10 to 90 degrees two-theta, low angle first)
| hkl | 2θ (°) | I (rel.) |
| --- | --- | --- |
| 1 1 1 | 22.4 | 21 |
| 2 0 0 | 26.0 | 21 |
| 2 2 0 | 37.1 | 100 |
| 3 1 1 | 43.8 | 11 |
| 2 2 2 | 45.8 | 7 |
| 4 0 0 | 53.4 | 18 |
| 3 3 1 | 58.7 | 5 |
| 4 2 0 | 60.3 | 9 |
| 4 2 2 | 66.8 | 37 |
| 4 4 0 | 78.9 | 12 |
| 5 3 1 | 83.3 | 3 |
| 6 0 0 | 84.8 | 5 |

Cell and atoms:
```
data_PaTaBi
_space_group_name_H-M_alt 'F -4 3 m'
_space_group_IT_number 216
_space_group_name_Hall 'F -4 2 3'
_cell_length_a 6.8604
_cell_length_b 6.8604
_cell_length_c 6.8604
_cell_angle_alpha 90.00
_cell_angle_beta 90.00
_cell_angle_gamma 90.00
loop_
_atom_site_label
_atom_site_fract_x
_atom_site_fract_y
_atom_site_fract_z
Pa1 0.0000 0.0000 0.0000
Ta1 0.2500 0.2500 0.2500
Bi1 0.0000 0.0000 0.5000
```

---

Diffraction record for BiPd9. The XRD peak list is computed, not measured: it uses DFT lattice parameters and positions (PBE) and copper Kα.
No peak broadening, texture or thermal motion is included.

Peak list (12 most intense, 10 to 90 degrees two-theta, low angle first)
| hkl | 2θ (°) | I (rel.) |
| --- | --- | --- |
| 1 1 5 | 38.6 | 100 |
| 1 1 6 | 39.6 | 48 |
| 2 0 -5 | 40.1 | 48 |
| 0 0 16 | 40.6 | 48 |
| 2 0 -6 | 40.9 | 20 |
| 1 1 -10 | 44.0 | 47 |
| 1 1 -11 | 45.6 | 52 |
| 2 0 10 | 47.2 | 17 |
| 2 0 11 | 48.8 | 23 |
| 0 2 0 | 63.4 | 18 |
| 1 1 21 | 67.5 | 21 |
| 3 1 0 | 68.0 | 22 |

Cell and atoms:
```
data_BiPd9
_space_group_name_H-M_alt 'P 1 21/m 1'
_space_group_IT_number 11
_space_group_name_Hall '-P 2yb'
_cell_length_a 4.6866
_cell_length_b 2.9329
_cell_length_c 35.6020
_cell_angle_alpha 90.00
_cell_angle_beta 92.02
_cell_angle_gamma 90.00
loop_
_atom_site_label
_atom_site_fract_x
_atom_site_fract_y
_atom_site_fract_z
Bi1 0.0898 0.2500 0.3147
Pd1 0.0772 0.2500 0.1256
Pd2 0.0851 0.2500 0.9372
Pd3 0.1020 0.2500 0.7474
Pd4 0.2386 0.7500 0.1889
Pd5 0.2498 0.7500 0.9999
Pd6 0.2615 0.7500 0.8110
Pd7 0.4105 0.2500 0.2535
Pd8 0.4148 0.2500 0.0626
Pd9 0.4231 0.2500 0.8744
```

---

Diffraction record for BiPd9. The XRD peak list is computed, not measured: it uses DFT lattice parameters and positions (PBE) and copper Kα.
No peak broadening, texture or thermal motion is included.

Peak list (12 most intense, 10 to 90 degrees two-theta, low angle first)
| hkl | 2θ (°) | I (rel.) |
| --- | --- | --- |
| 0 1 13 | 38.2 | 26 |
| 1 1 0 | 39.3 | 100 |
| 0 1 14 | 40.1 | 71 |
| 1 0 13 | 43.9 | 18 |
| 1 0 14 | 45.6 | 49 |
| 0 2 0 | 47.3 | 30 |
| 2 0 0 | 65.3 | 14 |
| 1 2 14 | 67.8 | 29 |
| 1 1 27 | 78.6 | 13 |
| 2 1 14 | 79.4 | 19 |
| 1 1 28 | 81.1 | 11 |
| 1 3 0 | 82.5 | 11 |

Cell and atoms:
```
data_BiPd9
_space_group_name_H-M_alt 'P m m n'
_space_group_IT_number 59
_cell_length_a 2.8598
_cell_length_b 3.8429
_cell_length_c 38.7591
_cell_angle_alpha 90.00
_cell_angle_beta 90.00
_cell_angle_gamma 90.00
loop_
_space_group_symop_operation_xyz
'x,y,z'
'-x,-y,-z'
'-x+1/2,-y+1/2,z'
'x+1/2,y+1/2,-z'
'x+1/2,-y,-z'
'-x+1/2,y,z'
'-x,y+1/2,-z'
'x,-y+1/2,z'
loop_
_atom_site_label
_atom_site_fract_x
_atom_site_fract_y
_atom_site_fract_z
Bi1 0.2500 0.2500 0.1513
Pd1 0.2500 0.2500 0.2288
Pd2 0.2500 0.2500 0.3012
Pd3 0.2500 0.2500 0.3737
Pd4 0.2500 0.2500 0.4460
Pd5 0.2500 0.2500 0.5181
Pd6 0.2500 0.2500 0.5902
Pd7 0.2500 0.2500 0.6624
Pd8 0.2500 0.2500 0.7348
Pd9 0.2500 0.2500 0.8088
```

---

Diffraction record for BiPd18. The XRD peak list is computed, not measured: it uses DFT lattice parameters and positions (PBE) and copper Kα.
No peak broadening, texture or thermal motion is included.

Peak list (12 most intense, 10 to 90 degrees two-theta, low angle first)
| hkl | 2θ (°) | I (rel.) |
| --- | --- | --- |
| 0 1 13 | 39.1 | 100 |
| 2 0 13 | 39.8 | 95 |
| 0 1 14 | 40.3 | 24 |
| 2 0 -14 | 40.9 | 23 |
| 2 1 0 | 45.3 | 82 |
| 0 0 26 | 47.0 | 25 |
| 0 0 27 | 48.9 | 13 |
| 0 2 0 | 65.1 | 14 |
| 2 1 26 | 67.3 | 32 |
| 2 2 13 | 79.1 | 25 |
| 4 1 13 | 80.3 | 24 |
| 0 2 26 | 84.1 | 16 |

Cell and atoms:
```
data_BiPd18
_space_group_name_H-M_alt 'P 1 21/m 1'
_space_group_IT_number 11
_space_group_name_Hall '-P 2yb'
_cell_length_a 5.5948
_cell_length_b 2.8657
_cell_length_c 50.2874
_cell_angle_alpha 90.00
_cell_angle_beta 90.00
_cell_angle_gamma 90.00
loop_
_atom_site_label
_atom_site_fract_x
_atom_site_fract_y
_atom_site_fract_z
Bi1 0.1252 0.2500 0.3614
Pd1 0.1239 0.2500 0.7542
Pd2 0.1250 0.2500 0.0566
Pd3 0.1250 0.2500 0.1321
Pd4 0.1250 0.2500 0.2077
Pd5 0.1250 0.2500 0.2843
Pd6 0.1251 0.2500 0.8300
Pd7 0.1250 0.2500 0.9056
Pd8 0.1250 0.2500 0.9811
Pd9 0.1331 0.2500 0.6767
Pd10 0.3740 0.7500 0.2458
Pd11 0.3750 0.7500 0.0189
Pd12 0.3751 0.7500 0.0944
Pd13 0.3751 0.7500 0.1700
Pd14 0.3749 0.7500 0.7159
Pd15 0.3750 0.7500 0.7921
Pd16 0.3750 0.7500 0.8678
Pd17 0.3750 0.7500 0.9434
Pd18 0.3832 0.7500 0.3233
```

---

What did the ninth record say?
Diffraction record for BiPd9. The XRD peak list is computed, not measured: it uses DFT lattice parameters and positions (PBE) and copper Kα.
No peak broadening, texture or thermal motion is included.

Peak list (12 most intense, 10 to 90 degrees two-theta, low angle first)
| hkl | 2θ (°) | I (rel.) |
| --- | --- | --- |
| 1 1 5 | 38.6 | 100 |
| 1 1 6 | 39.6 | 48 |
| 2 0 -5 | 40.1 | 48 |
| 0 0 16 | 40.6 | 48 |
| 2 0 -6 | 40.9 | 20 |
| 1 1 -10 | 44.0 | 47 |
| 1 1 -11 | 45.6 | 52 |
| 2 0 10 | 47.2 | 17 |
| 2 0 11 | 48.8 | 23 |
| 0 2 0 | 63.4 | 18 |
| 1 1 21 | 67.5 | 21 |
| 3 1 0 | 68.0 | 22 |

Cell and atoms:
```
data_BiPd9
_space_group_name_H-M_alt 'P 1 21/m 1'
_space_group_IT_number 11
_space_group_name_Hall '-P 2yb'
_cell_length_a 4.6866
_cell_length_b 2.9329
_cell_length_c 35.6020
_cell_angle_alpha 90.00
_cell_angle_beta 92.02
_cell_angle_gamma 90.00
loop_
_atom_site_label
_atom_site_fract_x
_atom_site_fract_y
_atom_site_fract_z
Bi1 0.0898 0.2500 0.3147
Pd1 0.0772 0.2500 0.1256
Pd2 0.0851 0.2500 0.9372
Pd3 0.1020 0.2500 0.7474
Pd4 0.2386 0.7500 0.1889
Pd5 0.2498 0.7500 0.9999
Pd6 0.2615 0.7500 0.8110
Pd7 0.4105 0.2500 0.2535
Pd8 0.4148 0.2500 0.0626
Pd9 0.4231 0.2500 0.8744
```